Starting from a DFT-relaxed cell (GGA-PBE, Alexandria), the PXRD pattern of Pr2DyBi2N2 was simulated for Cu Kα, 1.54184 Å.

Structural model:
```
Pr2DyBi2N2
1.0
-2.276 2.276 8.193
2.276 -2.276 8.193
2.276 2.276 -8.193
Pr Dy Bi N
2 1 2 2
Direct
0.093 0.093 0.000 Pr
0.907 0.907 0.000 Pr
0.500 0.500 0.000 Dy
0.287 0.287 0.000 Bi
0.713 0.713 0.000 Bi
0.000 0.500 0.500 N
0.500 0.000 0.500 N
```

Largest 10 diffraction maxima, most intense first, 10 to 80 degrees two-theta:
- 2θ = 33.7°, intensity 100
- 2θ = 27.7°, intensity 85
- 2θ = 53.0°, intensity 56
- 2θ = 39.6°, intensity 38
- 2θ = 64.8°, intensity 16
- 2θ = 68.1°, intensity 13
- 2θ = 57.2°, intensity 13
- 2θ = 63.7°, intensity 11
- 2θ = 70.9°, intensity 9
- 2θ = 69.2°, intensity 7